[1]
The following is a computed X-ray diffraction stick pattern of AcTb2Tm7. It was derived from a cell relaxed with GGA-PBE, using Cu Kα X-rays.
Lines closer than 0.1° are merged.

Cell and atoms:
```
data_AcTb2Tm7
_chemical_formula_sum 'Ac2 Tb4 Tm14'
_symmetry_space_group_name_H-M 'I m m m'
_symmetry_Int_Tables_number 71
_symmetry_space_group_name_Hall '-I 2 2'
_cell_length_a 3.6494
_cell_length_b 11.3737
_cell_length_c 16.8489
_cell_angle_alpha 90.00
_cell_angle_beta 90.00
_cell_angle_gamma 90.00
loop_
_atom_site_label
_atom_site_fract_x
_atom_site_fract_y
_atom_site_fract_z
_atom_site_occupancy
Ac1 0.0000 0.0000 0.0000 1
Tb1 0.0000 0.5000 0.3169 1
Tm1 0.0000 0.0000 0.3392 1
Tm2 0.0000 0.2533 0.1605 1
Tm3 0.0000 0.5000 0.0000 1
```

Peak list (6 most intense, 2θ from 10° to 80°, low angle first)
2θ = 31.5°, I 29, hkl 0 4 0
2θ = 31.9°, I 26, hkl 0 0 6
2θ = 33.2°, I 100, hkl 1 2 3
2θ = 45.4°, I 19, hkl 0 4 6
2θ = 57.2°, I 21, hkl 1 6 3
2θ = 57.7°, I 17, hkl 1 2 9

[2]
The following is a computed X-ray diffraction stick pattern of AcTb4Tm4. It was derived from a cell relaxed with GGA-PBE, using Cu Kα X-rays.
Lines closer than 0.1° are merged.

Cell and atoms:
```
data_AcTb4Tm4
_chemical_formula_sum 'Ac2 Tb8 Tm8'
_symmetry_space_group_name_H-M 'P -1'
_symmetry_Int_Tables_number 2
_symmetry_space_group_name_Hall '-P 1'
_cell_length_a 6.2348
_cell_length_b 8.9004
_cell_length_c 10.8080
_cell_angle_alpha 78.33
_cell_angle_beta 89.93
_cell_angle_gamma 83.23
loop_
_atom_site_label
_atom_site_fract_x
_atom_site_fract_y
_atom_site_fract_z
_atom_site_occupancy
Ac1 0.2483 0.0001 0.2494 1
Tb1 0.1365 0.6642 0.4754 1
Tb2 0.3560 0.3361 0.6951 1
Tb3 0.3621 0.3371 0.0251 1
Tb4 0.3623 0.3399 0.3612 1
Tm1 0.1362 0.6609 0.1368 1
Tm2 0.1434 0.6633 0.8072 1
Tm3 0.2488 0.9988 0.9172 1
Tm4 0.2516 0.9989 0.5837 1
```

Peak list (6 most intense, 2θ from 10° to 80°, low angle first)
2θ = 28.8°, I 43, hkl 1 0 -3
2θ = 31.0°, I 51, hkl 0 3 0
2θ = 31.8°, I 100, hkl 2 -1 0
2θ = 33.5°, I 94, hkl 2 2 0
2θ = 50.7°, I 26, hkl 3 1 3
2θ = 60.6°, I 38, hkl 3 -2 3

[3]
The following is a computed X-ray diffraction stick pattern of AcTb7Tm3. It was derived from a cell relaxed with GGA-PBE, using Cu Kα X-rays.
Lines closer than 0.1° are merged.

Cell and atoms:
```
data_AcTb7Tm3
_chemical_formula_sum 'Ac1 Tb7 Tm3'
_symmetry_space_group_name_H-M 'P 3 m 1'
_symmetry_Int_Tables_number 156
_symmetry_space_group_name_Hall 'P 3 -2"'
_cell_length_a 7.1135
_cell_length_b 7.1135
_cell_length_c 8.6320
_cell_angle_alpha 90.00
_cell_angle_beta 90.00
_cell_angle_gamma 120.00
loop_
_atom_site_label
_atom_site_fract_x
_atom_site_fract_y
_atom_site_fract_z
_atom_site_occupancy
Ac1 0.0000 0.0000 0.0000 1
Tb1 0.0029 0.5015 0.0044 1
Tb2 0.3323 0.1662 0.6650 1
Tb3 0.3333 0.6667 0.6712 1
Tm1 0.1689 0.3378 0.3410 1
```

Peak list (6 most intense, 2θ from 10° to 80°, low angle first)
2θ = 30.8°, I 100, hkl 0 2 1
2θ = 31.1°, I 32, hkl 0 0 3
2θ = 35.8°, I 67, hkl 2 0 2
2θ = 51.4°, I 24, hkl 2 2 0
2θ = 51.7°, I 24, hkl 0 2 4
2θ = 61.3°, I 28, hkl 2 2 3

[4]
The following is a computed X-ray diffraction stick pattern of AcTbTm. It was derived from a cell relaxed with GGA-PBE, using Cu Kα X-rays.
Lines closer than 0.1° are merged.

Cell and atoms:
```
data_AcTbTm
_chemical_formula_sum 'Ac4 Tb4 Tm4'
_symmetry_space_group_name_H-M 'P 1 21/c 1'
_symmetry_Int_Tables_number 14
_symmetry_space_group_name_Hall '-P 2ybc'
_cell_length_a 6.4747
_cell_length_b 11.9724
_cell_length_c 6.1841
_cell_angle_alpha 90.00
_cell_angle_beta 118.30
_cell_angle_gamma 90.00
loop_
_atom_site_label
_atom_site_fract_x
_atom_site_fract_y
_atom_site_fract_z
_atom_site_occupancy
Ac1 0.1696 0.1333 0.1570 1
Tb1 0.1873 0.6152 0.0146 1
Tm1 0.4829 0.6166 0.6602 1
```

Peak list (6 most intense, 2θ from 10° to 80°, low angle first)
2θ = 28.6°, I 18, hkl 1 1 1
2θ = 28.9°, I 13, hkl 1 0 -2
2θ = 29.8°, I 60, hkl 0 4 0
2θ = 31.4°, I 100, hkl 2 2 -1
2θ = 36.8°, I 16, hkl 1 3 -2
2θ = 54.0°, I 20, hkl 2 6 -1